The following is a simulated powder X-ray diffraction pattern of KNaP2H2O7. It was derived from a structure optimized by DFT (GGA-PBE), using λ = 1.5418 Å (Cu Kα).

The 10 most intense peaks (2θ from 10° to 90°), by angle:
- d = 7.979 Å, 2θ = 11.09°, intensity 41
- d = 7.368 Å, 2θ = 12.01°, intensity 64
- d = 5.608 Å, 2θ = 15.80°, intensity 44
- d = 5.476 Å, 2θ = 16.19°, intensity 100
- d = 3.682 Å, 2θ = 24.17°, intensity 57
- d = 3.637 Å, 2θ = 24.47°, intensity 39
- d = 3.147 Å, 2θ = 28.36°, intensity 86
- d = 2.983 Å, 2θ = 29.96°, intensity 40
- d = 2.857 Å, 2θ = 31.31°, intensity 64
- d = 2.700 Å, 2θ = 33.18°, intensity 39

Atomic structure:
abc: 8.017 8.039 11.480
angles: 106.49 95.30 90.07
Element x y z (fractional)
1 K 0.161 0.235 0.437
2 K 0.277 0.353 0.064
3 K 0.723 0.647 0.936
4 K 0.839 0.765 0.563
5 Na 0.168 0.851 0.920
6 Na 0.376 0.790 0.423
7 Na 0.624 0.210 0.577
8 Na 0.832 0.149 0.080
9 P 0.008 0.529 0.291
10 P 0.051 0.841 0.207
11 P 0.284 0.069 0.711
12 P 0.352 0.447 0.786
13 P 0.648 0.553 0.214
14 P 0.716 0.931 0.289
15 P 0.949 0.159 0.793
16 P 0.992 0.471 0.709
17 H 0.309 0.996 0.154
18 H 0.458 0.783 0.658
19 H 0.476 0.032 0.110
20 H 0.490 0.407 0.381
21 H 0.510 0.593 0.619
22 H 0.524 0.968 0.890
23 H 0.542 0.217 0.342
24 H 0.691 0.004 0.846
25 O 0.009 0.132 0.914
26 O 0.033 0.632 0.189
27 O 0.035 0.341 0.229
28 O 0.079 0.078 0.691
29 O 0.104 0.619 0.410
30 O 0.190 0.443 0.688
31 O 0.222 0.908 0.268
32 O 0.329 0.933 0.774
33 O 0.334 0.256 0.810
34 O 0.334 0.578 0.906
35 O 0.345 0.058 0.589
36 O 0.355 0.029 0.086
37 O 0.488 0.300 0.407
38 O 0.494 0.550 0.279
39 O 0.506 0.450 0.721
40 O 0.512 0.700 0.593
41 O 0.645 0.971 0.914
42 O 0.655 0.942 0.411
43 O 0.666 0.422 0.094
44 O 0.666 0.744 0.190
45 O 0.671 0.067 0.226
46 O 0.778 0.092 0.732
47 O 0.810 0.557 0.312
48 O 0.896 0.381 0.590
49 O 0.921 0.922 0.309
50 O 0.965 0.659 0.771
51 O 0.967 0.368 0.811
52 O 0.991 0.868 0.086

---

The following is a simulated powder X-ray diffraction pattern of UPd2Pb. It was derived from a structure optimized by DFT (GGA-PBE), using λ = 1.5418 Å (Cu Kα).

The 9 most intense peaks (2θ from 10° to 90°), by angle:
- d = 3.465 Å, 2θ = 25.71°, intensity 13
- d = 2.450 Å, 2θ = 36.68°, intensity 100
- d = 2.000 Å, 2θ = 45.34°, intensity 4
- d = 1.732 Å, 2θ = 52.85°, intensity 18
- d = 1.549 Å, 2θ = 59.68°, intensity 6
- d = 1.414 Å, 2θ = 66.06°, intensity 37
- d = 1.225 Å, 2θ = 78.01°, intensity 12
- d = 1.155 Å, 2θ = 83.76°, intensity 3
- d = 1.096 Å, 2θ = 89.44°, intensity 17

Atomic structure:
abc: 4.900 4.900 4.900
angles: 60.00 60.00 60.00
Element x y z (fractional)
1 U 0.000 0.000 0.000
2 Pd 0.250 0.250 0.250
3 Pd 0.750 0.750 0.750
4 Pb 0.500 0.500 0.500